# PaMnFeO5
Simulated X-ray diffraction stick pattern, Cu Kα, 1.54184 Å. Input: a structure optimized by DFT (PBE+U).
Lines closer than 0.1° are merged.

Most intense lines, 15° ≤ 2θ ≤ 90°, by angle:
| 2θ/deg | I/Imax |
| --- | --- |
| 16.77 | 78.5 |
| 17.46 | 72.2 |
| 25.64 | 100.0 |
| 29.24 | 50.6 |
| 29.68 | 37.3 |
| 35.31 | 44.6 |

Crystal structure
```
PaMnFeO5
1.0
3.031 -5.287 0.000
3.031 5.287 0.000
-2.324 0.000 7.483
Pa Mn Fe O
2 2 2 10
direct
0.000 0.000 0.000
0.000 0.000 0.500
0.438 0.562 0.750
0.562 0.438 0.250
0.276 0.724 0.250
0.724 0.276 0.750
0.049 0.362 0.668
0.079 0.921 0.750
0.284 0.428 0.083
0.362 0.049 0.168
0.428 0.284 0.583
0.572 0.716 0.417
0.638 0.951 0.832
0.716 0.572 0.917
0.921 0.079 0.250
0.951 0.638 0.332
```